[1]
Starting from a crystal structure in Alexandria, relaxed with PBE, the powder diffractogram of PuZn2Au3 was simulated for copper Kα.
Neutral-atom scattering factors, no anomalous dispersion.

Top 8 peaks for 10° ≤ 2θ ≤ 90°, most intense first:
2θ = 35.52°, I = 100; 2θ = 39.58°, I = 78; 2θ = 54.22°, I = 30; 2θ = 69.18°, I = 30; 2θ = 23.55°, I = 20; 2θ = 70.61°, I = 19; 2θ = 41.22°, I = 14; 2θ = 71.81°, I = 14

Cell and atoms:
```
data_PuZn2Au3
_chemical_formula_sum 'Pu2 Zn4 Au6'
_space_group_name_H-M_alt 'P 63/m m c'
_space_group_IT_number 194
_space_group_name_Hall '-P 6c 2c'
_cell_length_a 4.5541
_cell_length_b 4.5541
_cell_length_c 13.1667
_cell_angle_alpha 90.00
_cell_angle_beta 90.00
_cell_angle_gamma 120.00
loop_
_atom_site_label
_atom_site_type_symbol
_atom_site_fract_x
_atom_site_fract_y
_atom_site_fract_z
Pu1 Pu 0.0000 0.0000 0.2500
Zn1 Zn 0.3333 0.6667 0.0859
Au1 Au 0.0000 0.0000 0.0000
Au2 Au 0.3333 0.6667 0.6257
```



[2]
Starting from a crystal structure in Alexandria, relaxed with PBE, the powder diffractogram of SrBi2Pb4 was simulated for copper Kα.
Neutral-atom scattering factors, no anomalous dispersion.

Top 8 peaks for 10° ≤ 2θ ≤ 90°, most intense first:
2θ = 29.49°, I = 100; 2θ = 29.96°, I = 100; 2θ = 31.49°, I = 86; 2θ = 32.03°, I = 84; 2θ = 32.37°, I = 81; 2θ = 33.48°, I = 75; 2θ = 41.23°, I = 41; 2θ = 43.83°, I = 35

Cell and atoms:
```
data_SrBi2Pb4
_chemical_formula_sum 'Sr1 Bi2 Pb4'
_space_group_name_H-M_alt 'P -1'
_space_group_IT_number 2
_cell_length_a 5.395
_cell_length_b 5.624
_cell_length_c 8.798
_cell_angle_alpha 102.25
_cell_angle_beta 96.75
_cell_angle_gamma 114.37
loop_
_space_group_symop_operation_xyz
'x,y,z'
'-x,-y,-z'
loop_
_atom_site_label
_atom_site_type_symbol
_atom_site_fract_x
_atom_site_fract_y
_atom_site_fract_z
Sr1 Sr 0.000 0.000 0.000
Bi1 Bi 0.276 0.561 0.837
Pb1 Pb 0.147 0.297 0.442
Pb2 Pb 0.435 0.842 0.286
```



[3]
Starting from a crystal structure in Alexandria, relaxed with PBE, the powder diffractogram of Li3Pb2I7 was simulated for copper Kα.
Neutral-atom scattering factors, no anomalous dispersion.

Top 8 peaks for 10° ≤ 2θ ≤ 90°, most intense first:
2θ = 38.86°, I = 100; 2θ = 24.56°, I = 94; 2θ = 24.83°, I = 81; 2θ = 15.95°, I = 78; 2θ = 32.44°, I = 78; 2θ = 23.11°, I = 70; 2θ = 12.45°, I = 62; 2θ = 25.62°, I = 54

Cell and atoms:
```
data_Li3Pb2I7
_chemical_formula_sum 'Li12 Pb8 I28'
_space_group_name_H-M_alt 'C m c 21'
_space_group_IT_number 36
_cell_length_a 28.439
_cell_length_b 8.025
_cell_length_c 7.997
_cell_angle_alpha 90.00
_cell_angle_beta 90.00
_cell_angle_gamma 90.00
loop_
_space_group_symop_operation_xyz
'x,y,z'
'-x,-y,z+1/2'
'-x,y,z'
'x,-y,z+1/2'
'x+1/2,y+1/2,z'
'-x+1/2,-y+1/2,z+1/2'
'-x+1/2,y+1/2,z'
'x+1/2,-y+1/2,z+1/2'
loop_
_atom_site_label
_atom_site_type_symbol
_atom_site_fract_x
_atom_site_fract_y
_atom_site_fract_z
Li1 Li 0.000 0.215 0.000
Li2 Li 0.208 0.298 0.953
Pb1 Pb 0.105 0.243 0.496
I1 I 0.000 0.106 0.347
I2 I 0.074 0.397 0.853
I3 I 0.150 0.094 0.162
I4 I 0.210 0.377 0.591
```



[4]
Starting from a crystal structure in Alexandria, relaxed with PBE, the powder diffractogram of Cs3CaLa2S6 was simulated for copper Kα.
Neutral-atom scattering factors, no anomalous dispersion.

Top 8 peaks for 10° ≤ 2θ ≤ 90°, most intense first:
2θ = 28.03°, I = 100; 2θ = 24.88°, I = 44; 2θ = 38.30°, I = 36; 2θ = 41.75°, I = 35; 2θ = 22.10°, I = 24; 2θ = 47.73°, I = 19; 2θ = 51.04°, I = 18; 2θ = 44.66°, I = 15

Cell and atoms:
```
data_Cs3CaLa2S6
_chemical_formula_sum 'Cs6 Ca2 La4 S12'
_space_group_name_H-M_alt 'C 1 2/m 1'
_space_group_IT_number 12
_cell_length_a 7.494
_cell_length_b 12.982
_cell_length_c 8.423
_cell_angle_alpha 90.00
_cell_angle_beta 107.23
_cell_angle_gamma 90.00
loop_
_space_group_symop_operation_xyz
'x,y,z'
'-x,-y,-z'
'-x,y,-z'
'x,-y,z'
'x+1/2,y+1/2,z'
'-x+1/2,-y+1/2,-z'
'-x+1/2,y+1/2,-z'
'x+1/2,-y+1/2,z'
loop_
_atom_site_label
_atom_site_type_symbol
_atom_site_fract_x
_atom_site_fract_y
_atom_site_fract_z
Cs1 Cs 0.000 0.000 0.000
Cs2 Cs 0.000 0.335 0.000
Ca1 Ca 0.000 0.500 0.500
La1 La 0.000 0.167 0.500
S1 S 0.227 0.000 0.686
S2 S 0.230 0.333 0.687
```



[5]
Starting from a crystal structure in Alexandria, relaxed with PBE, the powder diffractogram of ZnCu4Au2 was simulated for copper Kα.
Neutral-atom scattering factors, no anomalous dispersion.

Top 8 peaks for 10° ≤ 2θ ≤ 90°, most intense first:
2θ = 41.63°, I = 100; 2θ = 23.88°, I = 40; 2θ = 33.58°, I = 34; 2θ = 48.89°, I = 31; 2θ = 86.42°, I = 24; 2θ = 70.58°, I = 20; 2θ = 47.55°, I = 17; 2θ = 60.62°, I = 13

Cell and atoms:
```
data_ZnCu4Au2
_chemical_formula_sum 'Zn2 Cu8 Au4'
_space_group_name_H-M_alt 'I 4/m m m'
_space_group_IT_number 139
_space_group_name_Hall '-I 4 2'
_cell_length_a 5.269
_cell_length_b 5.269
_cell_length_c 7.649
_cell_angle_alpha 90.00
_cell_angle_beta 90.00
_cell_angle_gamma 90.00
loop_
_atom_site_label
_atom_site_type_symbol
_atom_site_fract_x
_atom_site_fract_y
_atom_site_fract_z
Zn1 Zn 0.000 0.000 0.000
Cu1 Cu 0.250 0.250 0.250
Au1 Au 0.000 0.500 0.000
```



[6]
Starting from a crystal structure in Alexandria, relaxed with PBE, the powder diffractogram of K3Sm2ZrSe6 was simulated for copper Kα.
Neutral-atom scattering factors, no anomalous dispersion.

Top 8 peaks for 10° ≤ 2θ ≤ 90°, most intense first:
2θ = 29.14°, I = 100; 2θ = 11.45°, I = 48; 2θ = 39.88°, I = 35; 2θ = 43.42°, I = 34; 2θ = 36.82°, I = 17; 2θ = 53.15°, I = 17; 2θ = 70.97°, I = 14; 2θ = 65.91°, I = 11

Cell and atoms:
```
data_K3Sm2ZrSe6
_chemical_formula_sum 'K6 Sm4 Zr2 Se12'
_space_group_name_H-M_alt 'C 1 2/m 1'
_space_group_IT_number 12
_cell_length_a 7.218
_cell_length_b 12.505
_cell_length_c 8.100
_cell_angle_alpha 90.00
_cell_angle_beta 107.35
_cell_angle_gamma 90.00
loop_
_space_group_symop_operation_xyz
'x,y,z'
'-x,-y,-z'
'-x,y,-z'
'x,-y,z'
'x+1/2,y+1/2,z'
'-x+1/2,-y+1/2,-z'
'-x+1/2,y+1/2,-z'
'x+1/2,-y+1/2,z'
loop_
_atom_site_label
_atom_site_type_symbol
_atom_site_fract_x
_atom_site_fract_y
_atom_site_fract_z
K1 K 0.000 0.000 0.000
K2 K 0.000 0.330 0.000
Sm1 Sm 0.000 0.166 0.500
Zr1 Zr 0.000 0.500 0.500
Se1 Se 0.227 0.342 0.707
Se2 Se 0.246 0.500 0.292
```



Question: What is the formula in the fourth record?
Answer: Cs3CaLa2S6



Question: Which formula does entry 4 have?
Answer: Cs3CaLa2S6



Please write out number 5 again, unchanged.
Starting from a crystal structure in Alexandria, relaxed with PBE, the powder diffractogram of ZnCu4Au2 was simulated for copper Kα.
Neutral-atom scattering factors, no anomalous dispersion.

Top 8 peaks for 10° ≤ 2θ ≤ 90°, most intense first:
2θ = 41.63°, I = 100; 2θ = 23.88°, I = 40; 2θ = 33.58°, I = 34; 2θ = 48.89°, I = 31; 2θ = 86.42°, I = 24; 2θ = 70.58°, I = 20; 2θ = 47.55°, I = 17; 2θ = 60.62°, I = 13

Cell and atoms:
```
data_ZnCu4Au2
_chemical_formula_sum 'Zn2 Cu8 Au4'
_space_group_name_H-M_alt 'I 4/m m m'
_space_group_IT_number 139
_space_group_name_Hall '-I 4 2'
_cell_length_a 5.269
_cell_length_b 5.269
_cell_length_c 7.649
_cell_angle_alpha 90.00
_cell_angle_beta 90.00
_cell_angle_gamma 90.00
loop_
_atom_site_label
_atom_site_type_symbol
_atom_site_fract_x
_atom_site_fract_y
_atom_site_fract_z
Zn1 Zn 0.000 0.000 0.000
Cu1 Cu 0.250 0.250 0.250
Au1 Au 0.000 0.500 0.000
```